[1]
Pm4GaTe2I: calculated powder diffraction line list (Cu Kα (weighted mean of Kα1 and Kα2)), based on the GGA-PBE geometry in Alexandria.

Principal peaks in the range 15° ≤ 2θ ≤ 90°, low angle first:
2θ/deg, I (rel.), hkl
28.4, 100.0, 1 1 1
40.0, 12.1, 2 0 2
40.2, 23.6, 1 1 -3
40.9, 25.1, 3 1 -1
41.0, 12.7, 0 2 0
50.7, 13.2, 2 2 -2
58.7, 11.5, 2 2 2
66.0, 9.1, 0 2 4
66.9, 10.9, 4 2 0
74.2, 7.5, 1 3 -3

Atomic structure:
a = 7.658 Å, b = 4.398 Å, c = 7.813 Å
α = 90.00°, β = 108.79°, γ = 90.00°
Space group P2/m (No. 10)
Unique sites:
1 Pm 0.232 0.000 0.223 [2 per cell]
2 Pm 0.247 0.500 0.778 [2 per cell]
3 Ga 0.000 0.500 0.000 [1 per cell]
4 Te 0.500 0.000 0.000 [1 per cell]
5 Te 0.500 0.500 0.500 [1 per cell]
6 I 0.000 0.000 0.500 [1 per cell]

[2]
K2SrCd2Te4: calculated powder diffraction line list (Cu Kα (weighted mean of Kα1 and Kα2)), based on the GGA-PBE geometry in Alexandria.

Principal peaks in the range 15° ≤ 2θ ≤ 90°, low angle first:
2θ/deg, I (rel.), hkl
21.7, 19.8, 1 1 -1
23.5, 33.5, 1 1 1
24.8, 32.9, 4 0 -2
25.0, 19.6, 3 1 -1
27.2, 19.5, 4 0 1
28.1, 46.5, 1 1 -2
29.4, 100.0, 3 1 -2
32.4, 22.1, 6 0 0
36.9, 82.9, 3 1 2
38.6, 38.4, 0 2 0

Atomic structure:
a = 17.622 Å, b = 4.659 Å, c = 8.719 Å
α = 90.00°, β = 109.84°, γ = 90.00°
Space group C2/m (No. 12)
Unique sites:
1 K 0.121 0.000 0.055 [4 per cell]
2 Sr 0.000 0.000 0.500 [2 per cell]
3 Cd 0.172 0.500 0.482 [4 per cell]
4 Te 0.018 0.500 0.244 [4 per cell]
5 Te 0.210 0.000 0.697 [4 per cell]

[3]
Sr5UAs5: calculated powder diffraction line list (Cu Kα (weighted mean of Kα1 and Kα2)), based on the GGA-PBE geometry in Alexandria.

Principal peaks in the range 15° ≤ 2θ ≤ 90°, low angle first:
2θ/deg, I (rel.), hkl
15.9, 52.9, 1 1 0
28.3, 89.1, 4 0 -2
28.6, 91.5, 2 0 2
29.2, 93.2, 0 2 0
40.0, 29.5, 6 0 0
41.1, 64.4, 4 2 -2
41.3, 100.0, 2 2 2
50.2, 30.4, 6 2 0
51.3, 34.3, 2 2 -4
66.7, 20.7, 8 2 -4

Atomic structure:
a = 14.269 Å, b = 6.124 Å, c = 8.750 Å
α = 90.00°, β = 108.52°, γ = 90.00°
Space group C2/m (No. 12)
Unique sites:
1 Sr 0.000 0.000 0.000 [2 per cell]
2 Sr 0.176 0.500 0.354 [4 per cell]
3 Sr 0.188 0.500 0.823 [4 per cell]
4 U 0.000 0.000 0.500 [2 per cell]
5 As 0.000 0.500 0.500 [2 per cell]
6 As 0.143 0.000 0.338 [4 per cell]
7 As 0.153 0.000 0.812 [4 per cell]